Entry 1:
Structure and simulated powder diffractogram of Zn5Te (a structure optimized by DFT (PBE); CuKα).
Kinematic intensities with the Lorentz-polarization factor, no thermal factor.

Peak list (10 most intense, 10° ≤ 2θ ≤ 80°, low angle first)
2θ 28.1, rel. 32
2θ 32.0, rel. 28
2θ 37.1, rel. 35
2θ 38.7, rel. 100
2θ 43.0, rel. 42
2θ 54.6, rel. 22
2θ 58.1, rel. 18
2θ 61.5, rel. 24
2θ 66.9, rel. 19
2θ 75.9, rel. 13

Cell and atoms:
```
Zn5Te
1.0
5.5948 0.0000 0.0000
-2.7974 4.8453 0.0000
0.0000 0.0000 4.2055
Zn Te
5 1
Direct
0.0000 0.5000 0.0000
0.3333 0.6667 0.5000
0.5000 0.0000 0.0000
0.5000 0.5000 0.0000
0.6667 0.3333 0.5000
0.0000 0.0000 0.5000
```

=====

Entry 2:
Structure and simulated powder diffractogram of Rb4PbCl6 (a structure optimized by DFT (PBE); CuKα).
Kinematic intensities with the Lorentz-polarization factor, no thermal factor.

Peak list (10 most intense, 10° ≤ 2θ ≤ 80°, low angle first)
2θ 13.6, rel. 100
2θ 21.5, rel. 24
2θ 23.7, rel. 81
2θ 27.3, rel. 44
2θ 29.1, rel. 25
2θ 30.6, rel. 98
2θ 32.2, rel. 44
2θ 36.5, rel. 36
2θ 41.6, rel. 40
2θ 62.1, rel. 27

Cell and atoms:
```
Rb4PbCl6
1.0
6.5067 3.7566 5.3438
-6.5067 3.7566 5.3438
0.0000 -7.5133 5.3438
Rb Pb Cl
8 2 12
Direct
0.1242 0.7500 0.3758
0.2500 0.2500 0.2500
0.2500 0.6242 0.8758
0.3758 0.1242 0.7500
0.6242 0.8758 0.2500
0.7500 0.3758 0.1242
0.7500 0.7500 0.7500
0.8758 0.2500 0.6242
0.0000 0.0000 0.0000
0.5000 0.5000 0.5000
0.0582 0.9258 0.6994
0.0742 0.3006 0.9418
0.1994 0.4258 0.5582
0.3006 0.9418 0.0742
0.4258 0.5582 0.1994
0.4418 0.8006 0.5742
0.5582 0.1994 0.4258
0.5742 0.4418 0.8006
0.6994 0.0582 0.9258
0.8006 0.5742 0.4418
0.9258 0.6994 0.0582
0.9418 0.0742 0.3006
```

=====

Entry 3:
Structure and simulated powder diffractogram of LaRuC2 (a structure optimized by DFT (PBE); CuKα).
Kinematic intensities with the Lorentz-polarization factor, no thermal factor.

Peak list (10 most intense, 10° ≤ 2θ ≤ 80°, low angle first)
2θ 28.4, rel. 87
2θ 32.3, rel. 69
2θ 32.4, rel. 100
2θ 33.9, rel. 84
2θ 37.0, rel. 77
2θ 46.0, rel. 60
2θ 47.5, rel. 44
2θ 52.8, rel. 31
2θ 63.7, rel. 49
2θ 75.9, rel. 36

Cell and atoms:
```
LaRuC2
1.0
3.9799 0.0000 0.0000
0.0000 3.9799 0.0000
0.0000 0.0000 15.3142
La Ru C
4 4 8
Direct
0.1467 0.1497 0.0000
0.1497 0.8533 0.7500
0.8503 0.1467 0.2500
0.8533 0.8503 0.5000
0.3509 0.3539 0.6001
0.3539 0.6491 0.3501
0.6461 0.3509 0.8501
0.6491 0.6461 0.1001
0.1421 0.6465 0.1426
0.3415 0.3430 0.4675
0.3430 0.6585 0.2175
0.3535 0.1421 0.3926
0.6465 0.8579 0.8926
0.6570 0.3415 0.7175
0.6585 0.6570 0.9675
0.8579 0.3535 0.6426
```

=====

Entry 4:
Structure and simulated powder diffractogram of NaTe4As (a structure optimized by DFT (PBE); CuKα).
Kinematic intensities with the Lorentz-polarization factor, no thermal factor.

Peak list (10 most intense, 10° ≤ 2θ ≤ 80°, low angle first)
2θ 10.7, rel. 42
2θ 21.5, rel. 21
2θ 26.2, rel. 56
2θ 28.3, rel. 24
2θ 29.2, rel. 100
2θ 35.2, rel. 21
2θ 39.0, rel. 26
2θ 40.2, rel. 40
2θ 42.6, rel. 20
2θ 50.7, rel. 18

Cell and atoms:
```
NaTe4As
1.0
9.5935 0.0000 0.0000
0.0000 4.2466 0.0000
-5.5383 0.0000 9.3925
Na Te As
2 8 2
Direct
0.0000 0.0010 0.2500
0.0000 0.9990 0.7500
0.2343 0.5002 0.1986
0.2343 0.4998 0.6986
0.3395 0.0001 0.0646
0.3395 0.9999 0.5646
0.6605 0.0001 0.4354
0.6605 0.9999 0.9354
0.7657 0.5002 0.3014
0.7657 0.4998 0.8014
0.5000 0.5000 0.0000
0.5000 0.5000 0.5000
```

=====

Entry 5:
Structure and simulated powder diffractogram of Ga2GeSe4 (a structure optimized by DFT (PBE); CuKα).
Kinematic intensities with the Lorentz-polarization factor, no thermal factor.

Peak list (10 most intense, 10° ≤ 2θ ≤ 80°, low angle first)
2θ 16.2, rel. 37
2θ 18.0, rel. 18
2θ 28.0, rel. 15
2θ 29.4, rel. 100
2θ 32.8, rel. 32
2θ 36.5, rel. 28
2θ 46.8, rel. 63
2θ 50.4, rel. 22
2θ 50.7, rel. 26
2θ 78.0, rel. 17

Cell and atoms:
```
Ga2GeSe4
1.0
-3.8670 3.8670 3.1871
3.8670 -3.8670 3.1871
3.8670 3.8670 -3.1871
Ga Ge Se
2 1 4
Direct
0.2500 0.7500 0.5000
0.7500 0.2500 0.5000
0.0000 0.0000 0.0000
0.1684 0.6737 0.8421
0.3263 0.1684 0.4947
0.6737 0.8316 0.5053
0.8316 0.3263 0.1579
```

=====

Entry 6:
Structure and simulated powder diffractogram of Pu4Cd3O12 (a structure optimized by DFT (PBE); CuKα).
Kinematic intensities with the Lorentz-polarization factor, no thermal factor.

Peak list (10 most intense, 10° ≤ 2θ ≤ 80°, low angle first)
2θ 15.1, rel. 6
2θ 21.3, rel. 31
2θ 30.4, rel. 100
2θ 37.4, rel. 6
2θ 43.5, rel. 24
2θ 48.9, rel. 15
2θ 54.0, rel. 46
2θ 63.2, rel. 14
2θ 67.5, rel. 7
2θ 71.7, rel. 19

Cell and atoms:
```
Pu4Cd3O12
1.0
-4.1620 4.1620 4.1620
4.1620 -4.1620 4.1620
4.1620 4.1620 -4.1620
Pu Cd O
4 3 12
Direct
0.0000 0.0000 0.5000
0.0000 0.5000 0.0000
0.5000 0.0000 0.0000
0.5000 0.5000 0.5000
0.0000 0.5000 0.5000
0.5000 0.0000 0.5000
0.5000 0.5000 0.0000
0.1135 0.8052 0.3084
0.1948 0.3084 0.5032
0.1948 0.6916 0.8865
0.3084 0.1135 0.8052
0.3084 0.5032 0.1948
0.4968 0.8052 0.6916
0.5032 0.1948 0.3084
0.6916 0.4968 0.8052
0.6916 0.8865 0.1948
0.8052 0.3084 0.1135
0.8052 0.6916 0.4968
0.8865 0.1948 0.6916
```

=====

Entry 7:
Structure and simulated powder diffractogram of NpN2Cl4 (a structure optimized by DFT (PBE); CuKα).
Kinematic intensities with the Lorentz-polarization factor, no thermal factor.

Peak list (10 most intense, 10° ≤ 2θ ≤ 80°, low angle first)
2θ 15.9, rel. 43
2θ 21.0, rel. 100
2θ 21.5, rel. 49
2θ 23.4, rel. 44
2θ 34.0, rel. 32
2θ 36.5, rel. 52
2θ 37.4, rel. 51
2θ 40.0, rel. 27
2θ 40.9, rel. 26
2θ 44.1, rel. 25

Cell and atoms:
```
NpN2Cl4
1.0
2.4644 1.4228 11.1802
-2.4644 1.4228 11.1802
0.0000 -2.8457 11.1802
Np N Cl
1 2 4
Direct
0.0000 0.0000 0.0000
0.2024 0.2024 0.2024
0.7976 0.7976 0.7976
0.0742 0.0742 0.0742
0.3178 0.3178 0.3178
0.6822 0.6822 0.6822
0.9258 0.9258 0.9258
```

=====

Entry 8:
Structure and simulated powder diffractogram of CeNd6Y10 (a structure optimized by DFT (PBE); CuKα).
Kinematic intensities with the Lorentz-polarization factor, no thermal factor.

Peak list (10 most intense, 10° ≤ 2θ ≤ 80°, low angle first)
2θ 22.2, rel. 14
2θ 30.8, rel. 53
2θ 31.5, rel. 100
2θ 31.8, rel. 74
2θ 40.6, rel. 18
2θ 45.3, rel. 22
2θ 48.7, rel. 13
2θ 56.0, rel. 19
2θ 56.4, rel. 15
2θ 62.6, rel. 13

Cell and atoms:
```
CeNd6Y10
1.0
9.7605 0.0000 0.0000
-4.8803 8.4529 0.0000
0.0000 0.0000 6.9807
Ce Nd Y
1 6 10
Direct
0.0000 0.0000 0.0000
0.0000 0.3799 0.7994
0.0000 0.6201 0.2006
0.3799 0.0000 0.7994
0.3799 0.3799 0.2006
0.6201 0.0000 0.2006
0.6201 0.6201 0.7994
0.0000 0.2709 0.3164
0.0000 0.7291 0.6836
0.2709 0.0000 0.3164
0.2709 0.2709 0.6836
0.3333 0.6667 0.0000
0.3333 0.6667 0.5000
0.6667 0.3333 0.0000
0.6667 0.3333 0.5000
0.7291 0.0000 0.6836
0.7291 0.7291 0.3164
```

=====

Entry 9:
Structure and simulated powder diffractogram of Cs3AgF5 (a structure optimized by DFT (PBE); CuKα).
Kinematic intensities with the Lorentz-polarization factor, no thermal factor.

Peak list (10 most intense, 10° ≤ 2θ ≤ 80°, low angle first)
2θ 25.5, rel. 37
2θ 25.7, rel. 100
2θ 28.0, rel. 45
2θ 31.6, rel. 26
2θ 35.9, rel. 32
2θ 41.0, rel. 25
2θ 45.0, rel. 23
2θ 48.7, rel. 12
2θ 57.9, rel. 12
2θ 76.5, rel. 16

Cell and atoms:
```
Cs3AgF5
1.0
7.9963 0.0000 0.0000
0.0000 7.9963 0.0000
0.0000 0.0000 6.9970
Cs Ag F
6 2 10
Direct
0.0000 0.0000 0.0000
0.1771 0.3230 0.5000
0.3230 0.8230 0.5000
0.5000 0.5000 0.0000
0.6770 0.1771 0.5000
0.8230 0.6770 0.5000
0.0000 0.5000 0.0000
0.5000 0.0000 0.0000
0.0000 0.0000 0.5000
0.1338 0.6338 0.2069
0.1338 0.6338 0.7931
0.3662 0.1338 0.2069
0.3662 0.1338 0.7931
0.5000 0.5000 0.5000
0.6338 0.8662 0.2069
0.6338 0.8662 0.7931
0.8662 0.3662 0.2069
0.8662 0.3662 0.7931
```

=====

Entry 10:
Structure and simulated powder diffractogram of Nd3SmAl2 (a structure optimized by DFT (PBE); CuKα).
Kinematic intensities with the Lorentz-polarization factor, no thermal factor.

Peak list (10 most intense, 10° ≤ 2θ ≤ 80°, low angle first)
2θ 25.5, rel. 24
2θ 26.2, rel. 23
2θ 26.8, rel. 49
2θ 30.5, rel. 30
2θ 31.4, rel. 100
2θ 32.5, rel. 64
2θ 33.4, rel. 43
2θ 36.3, rel. 43
2θ 50.2, rel. 27
2θ 57.9, rel. 17

Cell and atoms:
```
Nd3SmAl2
1.0
8.0537 -2.4716 0.0000
8.0537 2.4716 0.0000
-4.9553 0.0000 8.7829
Nd Sm Al
6 2 4
Direct
0.0369 0.0369 0.3542
0.2936 0.2936 0.6400
0.3650 0.3650 0.3079
0.6350 0.6350 0.6921
0.7064 0.7064 0.3600
0.9631 0.9631 0.6458
0.1198 0.1198 0.0661
0.8802 0.8802 0.9339
0.2550 0.2550 0.9288
0.4846 0.4846 0.1221
0.5154 0.5154 0.8779
0.7450 0.7450 0.0712
```